[1]
Theoretical PXRD pattern of Sm3UC3 for CuKα, from a cell relaxed with PBE.
Lines closer than 0.1° are merged.

Most intense lines, 2θ from 10° to 80°, in order of rising 2θ:
2theta  I_rel
19.01  4
30.08  100
34.15  22
35.23  39
49.87  29
50.67  14
58.63  16
60.06  29
62.52  14
74.48  4

Structural model:
```
Sm3UC3
1.0
10.191 0.000 0.000
0.000 10.191 0.000
0.000 0.000 5.252
Sm U C
12 4 12
Direct
0.123 0.377 0.000 Sm
0.123 0.623 0.500 Sm
0.134 0.134 0.500 Sm
0.366 0.634 0.000 Sm
0.377 0.123 0.000 Sm
0.377 0.877 0.500 Sm
0.623 0.123 0.500 Sm
0.623 0.877 0.000 Sm
0.634 0.366 0.000 Sm
0.866 0.866 0.500 Sm
0.877 0.377 0.500 Sm
0.877 0.623 0.000 Sm
0.123 0.877 0.000 U
0.377 0.377 0.500 U
0.623 0.623 0.500 U
0.877 0.123 0.000 U
0.104 0.104 0.000 C
0.121 0.656 0.000 C
0.156 0.379 0.500 C
0.344 0.879 0.000 C
0.379 0.156 0.500 C
0.396 0.604 0.500 C
0.604 0.396 0.500 C
0.621 0.844 0.500 C
0.656 0.121 0.000 C
0.844 0.621 0.500 C
0.879 0.344 0.000 C
0.896 0.896 0.000 C
```

[2]
Theoretical PXRD pattern of Sm4UC4 for CuKα, from a cell relaxed with PBE.
Lines closer than 0.1° are merged.

Most intense lines, 2θ from 10° to 80°, in order of rising 2θ:
2theta  I_rel
11.31  8
29.75  33
29.91  100
34.63  83
49.67  28
49.76  10
49.94  19
59.01  24
59.21  30
62.08  11

Structural model:
```
Sm4UC4
1.0
6.062 -1.832 0.000
6.062 1.832 0.000
-4.464 0.000 7.826
Sm U C
4 1 4
Direct
0.107 0.107 0.388 Sm
0.295 0.295 0.191 Sm
0.705 0.705 0.809 Sm
0.893 0.893 0.612 Sm
0.500 0.500 0.000 U
0.087 0.087 0.918 C
0.315 0.315 0.720 C
0.685 0.685 0.280 C
0.913 0.913 0.082 C
```

[3]
Theoretical PXRD pattern of SmU4C5 for CuKα, from a cell relaxed with PBE.
Lines closer than 0.1° are merged.

Most intense lines, 2θ from 10° to 80°, in order of rising 2θ:
2theta  I_rel
31.07  100
35.60  22
36.24  41
51.71  30
52.13  7
52.24  7
61.13  16
61.99  30
64.77  15
76.93  5

Structural model:
```
SmU4C5
1.0
-1.751 2.522 8.772
1.751 -2.522 8.772
1.751 2.522 -8.772
Sm U C
1 4 5
Direct
0.000 0.000 0.000 Sm
0.201 0.201 0.000 U
0.400 0.400 0.000 U
0.600 0.600 0.000 U
0.799 0.799 0.000 U
0.113 0.613 0.500 C
0.303 0.803 0.500 C
0.500 0.000 0.500 C
0.697 0.197 0.500 C
0.887 0.387 0.500 C
```

[4]
Theoretical PXRD pattern of SmY2C3 for CuKα, from a cell relaxed with PBE.
Lines closer than 0.1° are merged.

Most intense lines, 2θ from 10° to 80°, in order of rising 2θ:
2theta  I_rel
25.98  100
28.35  38
29.17  27
29.53  40
31.24  49
38.94  52
39.96  36
42.69  31
43.26  30
57.73  23

Structural model:
```
SmY2C3
1.0
-2.863 5.189 3.792
2.863 -5.189 3.792
2.863 5.189 -3.792
Sm Y C
2 4 6
Direct
0.284 0.034 0.250 Sm
0.716 0.966 0.750 Sm
0.090 0.667 0.423 Y
0.256 0.333 0.923 Y
0.744 0.667 0.077 Y
0.910 0.333 0.577 Y
0.000 0.000 0.500 C
0.000 0.119 0.119 C
0.000 0.500 0.000 C
0.000 0.881 0.881 C
0.500 0.119 0.619 C
0.500 0.881 0.381 C
```

[5]
Theoretical PXRD pattern of SnC for CuKα, from a cell relaxed with PBE.
Lines closer than 0.1° are merged.

Most intense lines, 2θ from 10° to 80°, in order of rising 2θ:
2theta  I_rel
30.43  100
35.28  42
50.75  42
60.33  45
63.32  11
74.61  7

Structural model:
```
SnC
1.0
5.088 0.000 0.000
0.000 5.088 0.000
0.000 0.000 5.088
Sn C
4 4
Direct
0.000 0.000 0.000 Sn
0.000 0.500 0.500 Sn
0.500 0.000 0.500 Sn
0.500 0.500 0.000 Sn
0.250 0.250 0.750 C
0.250 0.750 0.250 C
0.750 0.250 0.250 C
0.750 0.750 0.750 C
```

[6]
Theoretical PXRD pattern of SnC for CuKα, from a cell relaxed with PBE.
Lines closer than 0.1° are merged.

Most intense lines, 2θ from 10° to 80°, in order of rising 2θ:
2theta  I_rel
27.97  43
29.75  100
34.96  75
37.78  93
52.10  42
56.84  30
60.16  32
61.39  17
66.13  19
69.42  18

Structural model:
```
SnC
1.0
6.086 0.000 0.000
0.000 3.508 0.000
-2.032 0.000 6.381
Sn C
4 4
Direct
0.000 0.000 0.000 Sn
0.196 0.000 0.593 Sn
0.500 0.500 0.000 Sn
0.696 0.500 0.593 Sn
0.396 0.000 0.192 C
0.469 0.000 0.407 C
0.896 0.500 0.192 C
0.969 0.500 0.407 C
```